Structure and computed powder X-ray diffraction pattern of Ca4Ta2O9 (a structure optimized by DFT (GGA-PBE); λ = 1.5418 Å (Cu Kα)).
Kinematic intensities with the Lorentz-polarization factor, no thermal factor.

Cell and atoms:
```
data_Ca4Ta2O9
_space_group_name_H-M_alt 'P 1'
_space_group_IT_number 1
_cell_length_a 9.834
_cell_length_b 5.691
_cell_length_c 14.948
_cell_angle_alpha 90.00
_cell_angle_beta 90.00
_cell_angle_gamma 90.00
loop_
_space_group_symop_operation_xyz
'x,y,z'
loop_
_atom_site_label
_atom_site_fract_x
_atom_site_fract_y
_atom_site_fract_z
_atom_site_occupancy
Ca1 0.164 0.006 0.203 1
Ca2 0.164 0.012 0.488 1
Ca3 0.164 0.988 0.988 1
Ca4 0.164 0.994 0.703 1
Ca5 0.336 0.488 0.988 1
Ca6 0.336 0.494 0.703 1
Ca7 0.336 0.506 0.203 1
Ca8 0.336 0.512 0.488 1
Ca9 0.664 0.488 0.512 1
Ca10 0.664 0.494 0.797 1
Ca11 0.664 0.506 0.297 1
Ca12 0.664 0.512 0.012 1
Ca13 0.836 0.006 0.297 1
Ca14 0.836 0.012 0.012 1
Ca15 0.836 0.988 0.512 1
Ca16 0.836 0.994 0.797 1
Ta1 0.005 0.497 0.853 1
Ta2 0.005 0.503 0.353 1
Ta3 0.495 0.003 0.353 1
Ta4 0.495 0.997 0.853 1
Ta5 0.505 0.003 0.147 1
Ta6 0.505 0.997 0.647 1
Ta7 0.995 0.497 0.647 1
Ta8 0.995 0.503 0.147 1
O1 0.000 0.237 0.750 1
O2 0.000 0.763 0.250 1
O3 0.013 0.195 0.092 1
O4 0.013 0.805 0.592 1
O5 0.132 0.374 0.253 1
O6 0.132 0.626 0.753 1
O7 0.148 0.348 0.916 1
O8 0.148 0.652 0.416 1
O9 0.158 0.334 0.598 1
O10 0.158 0.666 0.098 1
O11 0.342 0.166 0.098 1
O12 0.342 0.834 0.598 1
O13 0.352 0.152 0.416 1
O14 0.352 0.848 0.916 1
O15 0.368 0.126 0.753 1
O16 0.368 0.874 0.253 1
O17 0.487 0.305 0.592 1
O18 0.487 0.695 0.092 1
O19 0.500 0.263 0.250 1
O20 0.500 0.737 0.750 1
O21 0.513 0.305 0.908 1
O22 0.513 0.695 0.408 1
O23 0.632 0.126 0.747 1
O24 0.632 0.874 0.247 1
O25 0.648 0.152 0.084 1
O26 0.648 0.848 0.584 1
O27 0.658 0.166 0.402 1
O28 0.658 0.834 0.902 1
O29 0.842 0.334 0.902 1
O30 0.842 0.666 0.402 1
O31 0.852 0.348 0.584 1
O32 0.852 0.652 0.084 1
O33 0.868 0.374 0.247 1
O34 0.868 0.626 0.747 1
O35 0.987 0.195 0.408 1
O36 0.987 0.805 0.908 1
```

Principal peaks in the range 2θ from 5° to 70°, low angle first:
2θ/deg  intensity
18.02  1000
21.62  208
30.02  826
31.48  623
40.58  118
44.04  204
48.60  303
55.17  214
56.01  143
65.23  134



Structure and computed powder X-ray diffraction pattern of CaTa4O14 (a structure optimized by DFT (GGA-PBE); λ = 1.5418 Å (Cu Kα)).
Kinematic intensities with the Lorentz-polarization factor, no thermal factor.

Cell and atoms:
```
data_CaTa4O14
_space_group_name_H-M_alt 'P 1'
_space_group_IT_number 1
_cell_length_a 7.527
_cell_length_b 7.527
_cell_length_c 7.527
_cell_angle_alpha 59.26
_cell_angle_beta 59.26
_cell_angle_gamma 59.26
loop_
_space_group_symop_operation_xyz
'x,y,z'
loop_
_atom_site_label
_atom_site_fract_x
_atom_site_fract_y
_atom_site_fract_z
_atom_site_occupancy
Ca1 0.000 0.000 0.000 1
Ta1 0.000 0.500 0.500 1
Ta2 0.500 0.000 0.500 1
Ta3 0.500 0.500 0.000 1
Ta4 0.500 0.500 0.500 1
O1 0.135 0.135 0.135 1
O2 0.183 0.183 0.577 1
O3 0.183 0.577 0.183 1
O4 0.189 0.560 0.560 1
O5 0.423 0.817 0.817 1
O6 0.440 0.440 0.811 1
O7 0.440 0.811 0.440 1
O8 0.560 0.189 0.560 1
O9 0.560 0.560 0.189 1
O10 0.577 0.183 0.183 1
O11 0.811 0.440 0.440 1
O12 0.817 0.423 0.817 1
O13 0.817 0.817 0.423 1
O14 0.865 0.865 0.865 1
```

Principal peaks in the range 2θ from 5° to 70°, low angle first:
2θ/deg  intensity
14.33  552
14.55  1000
27.99  460
28.11  328
28.90  331
29.34  905
33.88  380
48.38  284
48.96  287
57.85  290



Structure and computed powder X-ray diffraction pattern of Ca4Ta2O9 (a structure optimized by DFT (GGA-PBE); λ = 1.5418 Å (Cu Kα)).
Kinematic intensities with the Lorentz-polarization factor, no thermal factor.

Cell and atoms:
```
data_Ca4Ta2O9
_space_group_name_H-M_alt 'P 1'
_space_group_IT_number 1
_cell_length_a 9.907
_cell_length_b 5.578
_cell_length_c 17.227
_cell_angle_alpha 90.00
_cell_angle_beta 124.13
_cell_angle_gamma 90.00
loop_
_space_group_symop_operation_xyz
'x,y,z'
loop_
_atom_site_label
_atom_site_fract_x
_atom_site_fract_y
_atom_site_fract_z
_atom_site_occupancy
Ca1 0.000 0.000 0.000 1
Ca2 0.000 0.500 0.500 1
Ca3 0.048 0.018 0.395 1
Ca4 0.048 0.482 0.895 1
Ca5 0.285 0.502 0.770 1
Ca6 0.285 0.998 0.270 1
Ca7 0.379 0.017 0.073 1
Ca8 0.379 0.483 0.573 1
Ca9 0.500 0.000 0.500 1
Ca10 0.500 0.500 0.000 1
Ca11 0.621 0.517 0.427 1
Ca12 0.621 0.983 0.927 1
Ca13 0.715 0.002 0.730 1
Ca14 0.715 0.498 0.230 1
Ca15 0.952 0.518 0.105 1
Ca16 0.952 0.982 0.605 1
Ta1 0.174 0.509 0.336 1
Ta2 0.174 0.991 0.836 1
Ta3 0.331 0.510 0.164 1
Ta4 0.331 0.990 0.664 1
Ta5 0.669 0.010 0.336 1
Ta6 0.669 0.490 0.836 1
Ta7 0.826 0.009 0.164 1
Ta8 0.826 0.491 0.664 1
O1 0.046 0.697 0.750 1
O2 0.046 0.803 0.250 1
O3 0.122 0.615 0.424 1
O4 0.122 0.885 0.924 1
O5 0.171 0.170 0.553 1
O6 0.171 0.330 0.053 1
O7 0.199 0.703 0.629 1
O8 0.199 0.797 0.129 1
O9 0.224 0.090 0.735 1
O10 0.224 0.410 0.235 1
O11 0.264 0.211 0.403 1
O12 0.264 0.289 0.903 1
O13 0.378 0.679 0.399 1
O14 0.378 0.821 0.899 1
O15 0.443 0.617 0.107 1
O16 0.443 0.883 0.607 1
O17 0.480 0.210 0.218 1
O18 0.480 0.290 0.718 1
O19 0.520 0.710 0.282 1
O20 0.520 0.790 0.782 1
O21 0.557 0.117 0.393 1
O22 0.557 0.383 0.893 1
O23 0.622 0.179 0.101 1
O24 0.622 0.321 0.601 1
O25 0.736 0.711 0.097 1
O26 0.736 0.789 0.597 1
O27 0.776 0.590 0.765 1
O28 0.776 0.910 0.265 1
O29 0.801 0.203 0.871 1
O30 0.801 0.297 0.371 1
O31 0.829 0.670 0.947 1
O32 0.829 0.830 0.447 1
O33 0.878 0.115 0.076 1
O34 0.878 0.385 0.576 1
O35 0.954 0.197 0.750 1
O36 0.954 0.303 0.250 1
```

Principal peaks in the range 2θ from 5° to 70°, low angle first:
2θ/deg  intensity
12.42  259
18.25  229
22.04  1000
30.65  343
31.24  699
31.49  666
32.09  296
44.95  521
50.77  166
56.67  159



Structure and computed powder X-ray diffraction pattern of Ca4Ta2O9 (a structure optimized by DFT (GGA-PBE); λ = 1.5418 Å (Cu Kα)).
Kinematic intensities with the Lorentz-polarization factor, no thermal factor.

Cell and atoms:
```
data_Ca4Ta2O9
_space_group_name_H-M_alt 'P 1'
_space_group_IT_number 1
_cell_length_a 5.668
_cell_length_b 5.668
_cell_length_c 14.923
_cell_angle_alpha 90.00
_cell_angle_beta 90.00
_cell_angle_gamma 120.00
loop_
_space_group_symop_operation_xyz
'x,y,z'
loop_
_atom_site_label
_atom_site_fract_x
_atom_site_fract_y
_atom_site_fract_z
_atom_site_occupancy
Ca1 0.333 0.667 0.023 1
Ca2 0.333 0.667 0.305 1
Ca3 0.333 0.667 0.523 1
Ca4 0.333 0.667 0.805 1
Ca5 0.667 0.333 0.195 1
Ca6 0.667 0.333 0.477 1
Ca7 0.667 0.333 0.695 1
Ca8 0.667 0.333 0.977 1
Ta1 0.000 0.000 0.147 1
Ta2 0.000 0.000 0.353 1
Ta3 0.000 0.000 0.647 1
Ta4 0.000 0.000 0.853 1
O1 0.000 0.262 0.250 1
O2 0.000 0.738 0.750 1
O3 0.036 0.322 0.910 1
O4 0.036 0.714 0.410 1
O5 0.262 0.000 0.250 1
O6 0.262 0.262 0.750 1
O7 0.286 0.322 0.410 1
O8 0.286 0.964 0.910 1
O9 0.322 0.036 0.590 1
O10 0.322 0.286 0.090 1
O11 0.678 0.714 0.910 1
O12 0.678 0.964 0.410 1
O13 0.714 0.036 0.090 1
O14 0.714 0.678 0.590 1
O15 0.738 0.000 0.750 1
O16 0.738 0.738 0.250 1
O17 0.964 0.286 0.590 1
O18 0.964 0.678 0.090 1
```

Principal peaks in the range 2θ from 5° to 70°, low angle first:
2θ/deg  intensity
18.07  1000
21.67  228
30.09  848
31.57  627
39.95  134
44.17  326
48.71  304
55.30  333
56.22  210
65.36  124



Structure and computed powder X-ray diffraction pattern of Ca4Ta2O9 (a structure optimized by DFT (GGA-PBE); λ = 1.5418 Å (Cu Kα)).
Kinematic intensities with the Lorentz-polarization factor, no thermal factor.

Cell and atoms:
```
data_Ca4Ta2O9
_space_group_name_H-M_alt 'P 1'
_space_group_IT_number 1
_cell_length_a 5.761
_cell_length_b 5.762
_cell_length_c 14.873
_cell_angle_alpha 89.90
_cell_angle_beta 89.80
_cell_angle_gamma 60.05
loop_
_space_group_symop_operation_xyz
'x,y,z'
loop_
_atom_site_label
_atom_site_fract_x
_atom_site_fract_y
_atom_site_fract_z
_atom_site_occupancy
Ca1 0.000 0.000 0.000 1
Ca2 0.000 0.000 0.500 1
Ca3 0.001 0.002 0.245 1
Ca4 0.334 0.333 0.156 1
Ca5 0.340 0.333 0.405 1
Ca6 0.660 0.667 0.595 1
Ca7 0.666 0.667 0.844 1
Ca8 0.999 0.998 0.755 1
Ta1 0.328 0.335 0.651 1
Ta2 0.333 0.333 0.851 1
Ta3 0.667 0.667 0.149 1
Ta4 0.672 0.665 0.349 1
O1 0.039 0.381 0.748 1
O2 0.051 0.656 0.900 1
O3 0.060 0.646 0.589 1
O4 0.283 0.068 0.590 1
O5 0.294 0.052 0.901 1
O6 0.347 0.706 0.099 1
O7 0.366 0.709 0.415 1
O8 0.382 0.577 0.746 1
O9 0.425 0.957 0.253 1
O10 0.575 0.043 0.747 1
O11 0.618 0.423 0.254 1
O12 0.634 0.291 0.585 1
O13 0.653 0.294 0.901 1
O14 0.706 0.948 0.099 1
O15 0.717 0.932 0.410 1
O16 0.940 0.354 0.411 1
O17 0.949 0.344 0.100 1
O18 0.961 0.619 0.252 1
```

Principal peaks in the range 2θ from 5° to 70°, low angle first:
2θ/deg  intensity
11.90  152
17.77  247
18.75  1000
23.93  164
29.97  442
31.04  668
35.11  266
39.55  176
43.65  146
55.21  217



Structure and computed powder X-ray diffraction pattern of CaTa4O11 (a structure optimized by DFT (GGA-PBE); λ = 1.5418 Å (Cu Kα)).
Kinematic intensities with the Lorentz-polarization factor, no thermal factor.

Cell and atoms:
```
data_CaTa4O11
_space_group_name_H-M_alt 'P 1'
_space_group_IT_number 1
_cell_length_a 6.281
_cell_length_b 6.281
_cell_length_c 12.392
_cell_angle_alpha 90.00
_cell_angle_beta 90.00
_cell_angle_gamma 120.00
loop_
_space_group_symop_operation_xyz
'x,y,z'
loop_
_atom_site_label
_atom_site_fract_x
_atom_site_fract_y
_atom_site_fract_z
_atom_site_occupancy
Ca1 0.333 0.667 0.250 1
Ca2 0.667 0.333 0.750 1
Ta1 0.000 0.358 0.500 1
Ta2 0.000 0.642 0.000 1
Ta3 0.333 0.667 0.750 1
Ta4 0.358 0.000 0.500 1
Ta5 0.358 0.358 0.000 1
Ta6 0.642 0.000 0.000 1
Ta7 0.642 0.642 0.500 1
Ta8 0.667 0.333 0.250 1
O1 0.000 0.245 0.000 1
O2 0.000 0.755 0.500 1
O3 0.055 0.434 0.656 1
O4 0.055 0.621 0.844 1
O5 0.245 0.000 0.000 1
O6 0.245 0.245 0.500 1
O7 0.333 0.667 0.034 1
O8 0.333 0.667 0.466 1
O9 0.379 0.434 0.844 1
O10 0.379 0.945 0.656 1
O11 0.434 0.055 0.344 1
O12 0.434 0.379 0.156 1
O13 0.566 0.621 0.656 1
O14 0.566 0.945 0.844 1
O15 0.621 0.055 0.156 1
O16 0.621 0.566 0.344 1
O17 0.667 0.333 0.534 1
O18 0.667 0.333 0.966 1
O19 0.755 0.000 0.500 1
O20 0.755 0.755 0.000 1
O21 0.945 0.379 0.344 1
O22 0.945 0.566 0.156 1
```

Principal peaks in the range 2θ from 5° to 70°, low angle first:
2θ/deg  intensity
14.29  566
16.30  327
17.81  263
28.82  483
29.34  1000
31.95  798
35.92  365
46.69  257
50.32  335
59.03  362



Structure and computed powder X-ray diffraction pattern of Ca2TaTiO6 (a structure optimized by DFT (GGA-PBE); λ = 1.5418 Å (Cu Kα)).
Kinematic intensities with the Lorentz-polarization factor, no thermal factor.

Cell and atoms:
```
data_Ca2TaTiO6
_space_group_name_H-M_alt 'P 1'
_space_group_IT_number 1
_cell_length_a 5.477
_cell_length_b 7.823
_cell_length_c 5.635
_cell_angle_alpha 90.00
_cell_angle_beta 90.05
_cell_angle_gamma 90.00
loop_
_space_group_symop_operation_xyz
'x,y,z'
loop_
_atom_site_label
_atom_site_fract_x
_atom_site_fract_y
_atom_site_fract_z
_atom_site_occupancy
Ca1 0.010 0.250 0.043 1
Ca2 0.488 0.250 0.561 1
Ca3 0.512 0.750 0.439 1
Ca4 0.990 0.750 0.957 1
Ta1 0.000 0.000 0.500 1
Ta2 0.000 0.500 0.500 1
Ti1 0.500 0.000 0.000 1
Ti2 0.500 0.500 0.000 1
O1 0.088 0.750 0.526 1
O2 0.202 0.046 0.790 1
O3 0.202 0.454 0.790 1
O4 0.294 0.044 0.296 1
O5 0.294 0.456 0.296 1
O6 0.417 0.750 0.023 1
O7 0.583 0.250 0.977 1
O8 0.706 0.544 0.704 1
O9 0.706 0.956 0.704 1
O10 0.798 0.546 0.210 1
O11 0.798 0.954 0.210 1
O12 0.912 0.250 0.474 1
```

Principal peaks in the range 2θ from 5° to 70°, low angle first:
2θ/deg  intensity
15.73  304
16.18  291
22.64  472
22.73  219
31.76  251
32.30  1000
32.70  236
46.23  296
56.92  175
58.11  237